For MgCd2Co2O6, DFT lattice parameters and positions (PBE+U) gives the computed X-ray diffraction stick pattern in this record (λ = 1.5418 Å (Cu Kα)).
Lines closer than 0.1° are merged.

```
MgCd2Co2O6
1.0
5.351 0.000 0.000
-2.675 4.635 0.000
-2.668 -1.546 4.885
Mg Cd Co O
1 2 2 6
Direct
0.000 0.000 0.000 Mg
0.430 0.216 0.645 Cd
0.897 0.449 0.345 Cd
0.294 0.647 0.942 Co
0.642 0.821 0.463 Co
0.075 0.227 0.713 O
0.220 0.446 0.206 O
0.432 0.986 0.206 O
0.486 0.849 0.714 O
0.759 0.773 0.205 O
0.866 0.638 0.714 O
```

Top 8 peaks for 15° ≤ 2θ ≤ 90°, in order of rising 2θ:
- 18.16°, d 4.885, I 15.6
- 31.12°, d 2.874, I 35.8
- 33.49°, d 2.676, I 100.0
- 36.26°, d 2.477, I 65.4
- 38.35°, d 2.347, I 21.0
- 50.19°, d 1.818, I 35.6
- 59.87°, d 1.545, I 27.4
- 61.68°, d 1.504, I 25.7

***

For MgFe6O7F5, DFT lattice parameters and positions (PBE+U) gives the computed X-ray diffraction stick pattern in this record (λ = 1.5418 Å (Cu Kα)).
Lines closer than 0.1° are merged.

```
MgFe6O7F5
1.0
4.895 0.000 0.000
0.365 5.689 0.000
0.593 0.797 7.890
Mg Fe O F
1 6 7 5
Direct
0.000 0.000 0.000 Mg
0.039 0.249 0.315 Fe
0.489 0.364 0.617 Fe
0.491 0.049 0.949 Fe
0.510 0.713 0.270 Fe
0.925 0.523 0.898 Fe
0.953 0.895 0.606 Fe
0.204 0.157 0.519 O
0.232 0.314 0.846 O
0.262 0.999 0.179 O
0.697 0.434 0.386 O
0.721 0.110 0.732 O
0.729 0.756 0.051 O
0.747 0.613 0.699 O
0.179 0.809 0.828 F
0.225 0.511 0.184 F
0.264 0.670 0.502 F
0.774 0.268 0.072 F
0.775 0.940 0.383 F
```

Top 8 peaks for 15° ≤ 2θ ≤ 90°, in order of rising 2θ:
- 24.74°, d 3.598, I 100.0
- 27.13°, d 3.287, I 99.9
- 33.97°, d 2.639, I 36.1
- 34.09°, d 2.630, I 26.5
- 34.71°, d 2.584, I 64.7
- 40.09°, d 2.249, I 23.3
- 50.75°, d 1.799, I 44.0
- 52.98°, d 1.728, I 33.1

***

For Ba2MgNiMoO6, DFT lattice parameters and positions (PBE+U) gives the computed X-ray diffraction stick pattern in this record (λ = 1.5418 Å (Cu Kα)).
Lines closer than 0.1° are merged.

```
Ba2MgNiMoO6
1.0
5.162 -2.975 0.000
5.162 2.975 0.000
-3.441 0.000 5.231
Ba Mg Ni Mo O
2 1 1 1 6
Direct
0.000 0.000 0.000 Ba
0.542 0.542 0.627 Ba
0.328 0.328 0.983 Mg
0.177 0.177 0.532 Ni
0.776 0.776 0.328 Mo
0.002 0.002 0.551 O
0.003 0.547 0.554 O
0.009 0.542 0.095 O
0.542 0.009 0.095 O
0.543 0.543 0.097 O
0.547 0.003 0.554 O
```

Top 8 peaks for 15° ≤ 2θ ≤ 90°, in order of rising 2θ:
- 28.59°, d 3.123, I 39.9
- 30.01°, d 2.978, I 100.0
- 33.42°, d 2.681, I 45.0
- 41.92°, d 2.155, I 31.1
- 52.42°, d 1.745, I 18.1
- 53.28°, d 1.719, I 19.4
- 55.49°, d 1.656, I 23.7
- 62.37°, d 1.489, I 18.6